Diffraction record for NbPO5. The powder diffraction line list is computed, not measured: it uses a structure optimized by DFT (GGA-PBE) and Cu Kα (λ = 1.5418 Å).
No peak broadening, texture or thermal motion is included.

Principal peaks in the range 10° ≤ 2θ ≤ 90°, by angle:
15.45 deg, d 5.736, I 49
20.24 deg, d 4.388, I 82
20.89 deg, d 4.251, I 100
22.30 deg, d 3.987, I 89
26.09 deg, d 3.416, I 56
26.73 deg, d 3.335, I 31
31.96 deg, d 2.800, I 39
32.92 deg, d 2.721, I 21
35.35 deg, d 2.539, I 34
49.03 deg, d 1.858, I 23
49.60 deg, d 1.838, I 27
53.14 deg, d 1.724, I 25

```
NbPO5
1.0
11.4729 0.0000 0.0000
0.0000 5.4411 0.0000
0.0000 0.0000 6.8124
Nb P O
4 4 20
Cartesian
0.7220 1.3603 1.1504 Nb
5.0145 4.0808 4.5566 Nb
6.4584 1.3603 2.2558 Nb
10.7509 4.0808 5.6620 Nb
1.7643 4.0808 3.2182 P
3.9721 1.3603 6.6244 P
7.5008 4.0808 0.1880 P
9.7085 1.3603 3.5942 P
0.0000 0.0000 0.0000 O
0.0000 2.7206 0.0000 O
0.9335 4.0808 4.5225 O
1.4707 2.8126 2.4113 O
1.4707 5.3491 2.4113 O
2.4751 1.3603 0.2064 O
3.2613 4.0808 3.6126 O
4.2658 0.0920 5.8175 O
4.2658 2.6285 5.8175 O
4.8029 1.3603 1.1163 O
5.7364 0.0000 3.4062 O
5.7364 2.7206 3.4062 O
6.6700 4.0808 5.6961 O
7.2071 2.8126 0.9949 O
7.2071 5.3491 0.9949 O
8.2116 1.3603 3.1998 O
8.9978 4.0808 6.6060 O
10.0022 0.0920 4.4011 O
10.0022 2.6285 4.4011 O
10.5394 1.3603 2.2899 O
```



Diffraction record for AlSn. The powder diffraction line list is computed, not measured: it uses a structure optimized by DFT (GGA-PBE) and Cu Kα (λ = 1.5418 Å).
No peak broadening, texture or thermal motion is included.

Principal peaks in the range 10° ≤ 2θ ≤ 90°, by angle:
24.48 deg, d 3.636, I 91
26.96 deg, d 3.307, I 17
36.74 deg, d 2.446, I 100
43.09 deg, d 2.099, I 38
50.19 deg, d 1.818, I 14
51.57 deg, d 1.772, I 19
57.89 deg, d 1.593, I 27
61.62 deg, d 1.505, I 15
68.25 deg, d 1.374, I 11
72.82 deg, d 1.299, I 17
74.82 deg, d 1.269, I 27
78.14 deg, d 1.223, I 8

```
AlSn
1.0
4.1981 0.0000 0.0000
-2.0991 3.6357 0.0000
0.0000 0.0000 3.3068
Al Sn
1 1
Cartesian
0.0000 0.0000 0.0000 Al
0.0000 2.4238 1.6534 Sn
```



Diffraction record for Na2BeH4. The powder diffraction line list is computed, not measured: it uses a structure optimized by DFT (GGA-PBE) and Cu Kα (λ = 1.5418 Å).
No peak broadening, texture or thermal motion is included.

Principal peaks in the range 10° ≤ 2θ ≤ 90°, by angle:
25.15 deg, d 3.541, I 100
26.30 deg, d 3.389, I 41
34.67 deg, d 2.587, I 63
35.75 deg, d 2.511, I 33
35.97 deg, d 2.497, I 37
38.65 deg, d 2.330, I 58
41.46 deg, d 2.178, I 14
45.11 deg, d 2.010, I 24
45.43 deg, d 1.996, I 11
48.19 deg, d 1.888, I 10
51.62 deg, d 1.771, I 24
66.45 deg, d 1.407, I 10

```
Na2BeH4
1.0
5.0787 0.0000 0.0000
0.0000 4.9931 0.0000
-1.0157 0.0000 6.7778
Na Be H
4 2 8
Cartesian
1.1450 1.2483 0.1700 Na
0.6612 1.2483 3.5565 Na
3.4018 3.7448 3.2213 Na
2.9180 3.7448 6.6078 Na
0.3408 3.7448 5.2736 Be
3.7222 1.2483 1.5042 Be
-0.4740 2.6003 4.9770 H
-0.4740 4.8893 4.9770 H
0.5950 3.7448 6.6874 H
1.5530 3.7448 4.4895 H
2.5100 1.2483 2.2883 H
3.4680 1.2483 0.0904 H
4.5370 0.1037 1.8008 H
4.5370 2.3928 1.8008 H
```



Repeat the third record exactly.
Diffraction record for Na2BeH4. The powder diffraction line list is computed, not measured: it uses a structure optimized by DFT (GGA-PBE) and Cu Kα (λ = 1.5418 Å).
No peak broadening, texture or thermal motion is included.

Principal peaks in the range 10° ≤ 2θ ≤ 90°, by angle:
25.15 deg, d 3.541, I 100
26.30 deg, d 3.389, I 41
34.67 deg, d 2.587, I 63
35.75 deg, d 2.511, I 33
35.97 deg, d 2.497, I 37
38.65 deg, d 2.330, I 58
41.46 deg, d 2.178, I 14
45.11 deg, d 2.010, I 24
45.43 deg, d 1.996, I 11
48.19 deg, d 1.888, I 10
51.62 deg, d 1.771, I 24
66.45 deg, d 1.407, I 10

```
Na2BeH4
1.0
5.0787 0.0000 0.0000
0.0000 4.9931 0.0000
-1.0157 0.0000 6.7778
Na Be H
4 2 8
Cartesian
1.1450 1.2483 0.1700 Na
0.6612 1.2483 3.5565 Na
3.4018 3.7448 3.2213 Na
2.9180 3.7448 6.6078 Na
0.3408 3.7448 5.2736 Be
3.7222 1.2483 1.5042 Be
-0.4740 2.6003 4.9770 H
-0.4740 4.8893 4.9770 H
0.5950 3.7448 6.6874 H
1.5530 3.7448 4.4895 H
2.5100 1.2483 2.2883 H
3.4680 1.2483 0.0904 H
4.5370 0.1037 1.8008 H
4.5370 2.3928 1.8008 H
```